1.
# Fe2SeS
Theoretical powder XRD pattern, Cu Kα (λ = 1.5418 Å). Input: a cell relaxed with GGA-PBE.

Peak list (6 most intense, 2θ = 10–90°, low angle first)
- (1 0 0), 30.22 deg, I 26
- (1 0 1), 34.21 deg, I 75
- (1 0 2), 44.30 deg, I 100
- (1 1 0), 53.67 deg, I 47
- (1 0 3), 57.99 deg, I 14
- (2 0 2), 72.06 deg, I 21

Crystal structure
a = 3.4154 Å, b = 3.4154 Å, c = 5.6586 Å
α = 90.00°, β = 90.00°, γ = 120.00°
Fractional positions:
1 Fe 0.0000 0.0000 0.2305
2 Fe 0.0000 0.0000 0.7695
3 Se 0.3333 0.6667 0.5000
4 S 0.6667 0.3333 0.0000

---

2.
# Fe2SiS4
Theoretical powder XRD pattern, Cu Kα (λ = 1.5418 Å). Input: a cell relaxed with GGA-PBE.

Peak list (6 most intense, 2θ = 10–90°, low angle first)
- (1 1 1), 21.15 deg, I 40
- (3 1 1), 29.72 deg, I 35
- (1 2 1), 30.63 deg, I 39
- (4 0 1), 33.25 deg, I 70
- (2 2 2), 43.06 deg, I 100
- (0 4 0), 52.07 deg, I 65

Crystal structure
a = 12.1665 Å, b = 7.0269 Å, c = 5.8082 Å
α = 90.00°, β = 90.00°, γ = 90.00°
Fractional positions:
1 Fe 0.0000 0.0000 0.0000
2 Fe 0.0000 0.5000 0.0000
3 Fe 0.2379 0.2500 0.4928
4 Fe 0.2621 0.7500 0.9928
5 Fe 0.5000 0.0000 0.5000
6 Fe 0.5000 0.5000 0.5000
7 Fe 0.7379 0.2500 0.0072
8 Fe 0.7621 0.7500 0.5072
9 Si 0.0880 0.7500 0.4077
10 Si 0.4120 0.2500 0.9077
11 Si 0.5880 0.7500 0.0923
12 Si 0.9120 0.2500 0.5923
13 S 0.0746 0.2500 0.7408
14 S 0.0915 0.7500 0.7770
15 S 0.1679 0.5092 0.2492
16 S 0.1679 0.9908 0.2492
17 S 0.3321 0.0092 0.7492
18 S 0.3321 0.4908 0.7492
19 S 0.4085 0.2500 0.2770
20 S 0.4254 0.7500 0.2408
21 S 0.5746 0.2500 0.7592
22 S 0.5915 0.7500 0.7230
23 S 0.6679 0.5092 0.2508
24 S 0.6679 0.9908 0.2508
25 S 0.8321 0.0092 0.7508
26 S 0.8321 0.4908 0.7508
27 S 0.9085 0.2500 0.2230
28 S 0.9254 0.7500 0.2592